Diffraction record for CuP3O9. The PXRD pattern is computed, not measured: it uses a structure optimized by DFT (GGA-PBE) and CuKα.

Principal peaks in the range 5 to 70 degrees two-theta, by intensity:
- (1 1 1), 2θ 17.8, d 4.974, I = 100
- (0 2 1), 2θ 23.3, d 3.821, I = 83
- (0 1 2), 2θ 22.4, d 3.977, I = 61
- (3 0 1), 2θ 33.4, d 2.682, I = 55
- (1 2 1), 2θ 25.6, d 3.481, I = 53
- (1 1 2), 2θ 24.8, d 3.596, I = 34
- (3 1 1), 2θ 35.1, d 2.557, I = 32
- (1 3 0), 2θ 33.6, d 2.670, I = 25
- (0 1 3), 2θ 31.6, d 2.831, I = 25
- (0 4 0), 2θ 42.9, d 2.110, I = 20

Cell and atoms:
```
data_CuP3O9
_cell_length_a 8.4226
_cell_length_b 8.4475
_cell_length_c 9.0158
_cell_angle_alpha 90.00
_cell_angle_beta 90.00
_cell_angle_gamma 90.00
_symmetry_space_group_name_H-M 'P 21 21 21'
_symmetry_Int_Tables_number 19
loop_
_symmetry_equiv_pos_as_xyz
'x,y,z'
'-x+1/2,-y,z+1/2'
'x+1/2,-y+1/2,-z'
'-x,y+1/2,-z+1/2'
loop_
_atom_site_label
_atom_site_type_symbol
_atom_site_fract_x
_atom_site_fract_y
_atom_site_fract_z
Cu1 Cu 0.1530 0.1258 0.1140
P1 P 0.0225 0.3156 0.8323
P2 P 0.1880 0.4689 0.3067
P3 P 0.1987 0.8189 0.9188
O1 O 0.0396 0.7666 0.8308
O2 O 0.0796 0.6017 0.3521
O3 O 0.1137 0.8816 0.5783
O4 O 0.1146 0.1803 0.8981
O5 O 0.1401 0.4549 0.7814
O6 O 0.1492 0.3683 0.1723
O7 O 0.1563 0.8866 0.0682
O8 O 0.1933 0.0809 0.3231
O9 O 0.2226 0.3529 0.4474
```